For Tm2MgAlAu4, a structure optimized by DFT (PBE) gives the theoretical X-ray diffraction stick pattern in this record (Cu Kα).

Crystal structure
```
data_Tm2MgAlAu4
_chemical_formula_sum 'Tm6 Mg3 Al3 Au12'
_cell_length_a 4.8260
_cell_length_b 4.8260
_cell_length_c 23.6129
_cell_angle_alpha 90.00
_cell_angle_beta 90.00
_cell_angle_gamma 120.00
_symmetry_space_group_name_H-M 'R -3 m'
_symmetry_Int_Tables_number 166
_symmetry_space_group_name_Hall '-R 3 2"'
loop_
_atom_site_label
_atom_site_fract_x
_atom_site_fract_y
_atom_site_fract_z
_atom_site_occupancy
Tm1 0.0000 0.0000 0.2488 1
Mg1 0.0000 0.0000 0.0000 1
Al1 0.0000 0.0000 0.5000 1
Au1 0.0000 0.0000 0.1249 1
Au2 0.0000 0.0000 0.3763 1
```

Top 10 peaks for 10° ≤ 2θ ≤ 90°, in order of rising 2θ:
hkl 0 0 6, 2θ = 22.58°, I = 14
hkl 1 0 4, 2θ = 26.12°, I = 14
hkl 1 1 0, 2θ = 37.28°, I = 100
hkl 1 1 6, 2θ = 44.02°, I = 7
hkl 0 2 4, 2θ = 46.09°, I = 4
hkl 2 0 8, 2θ = 53.75°, I = 18
hkl 0 1 14, 2θ = 59.02°, I = 3
hkl 2 1 4, 2θ = 60.71°, I = 6
hkl 3 0 0, 2θ = 67.23°, I = 36
hkl 2 2 0, 2θ = 79.47°, I = 11